No. 1
Computed X-ray diffraction stick pattern of CrGa3P4 for copper Kα, from a DFT-relaxed cell (GGA-PBE, the Materials Project).
Lines closer than 0.1° are merged.

Peak list (8 most intense, 2θ from 5° to 70°, in order of falling intensity)
two_theta, I (rel.)
28.15, 100
46.79, 61
55.50, 41
32.61, 13
68.33, 9
58.20, 3
22.90, 1
36.59, 1

Crystal structure
```
CrGa3P4
1.0
5.491 0.000 0.000
0.000 5.491 0.000
0.000 0.000 5.491
Cr Ga P
1 3 4
direct
0.000 0.000 0.000 Cr
0.000 0.500 0.500 Ga
0.500 0.000 0.500 Ga
0.500 0.500 0.000 Ga
0.246 0.246 0.246 P
0.246 0.754 0.754 P
0.754 0.246 0.754 P
0.754 0.754 0.246 P
```

=====

No. 2
Computed X-ray diffraction stick pattern of CrGaP2 for copper Kα, from a DFT-relaxed cell (GGA-PBE, the Materials Project).
Lines closer than 0.1° are merged.

Peak list (8 most intense, 2θ from 5° to 70°, in order of falling intensity)
two_theta, I (rel.)
28.30, 100
47.05, 61
55.82, 40
32.79, 11
68.79, 6
68.63, 3
58.54, 3
23.04, 1

Crystal structure
```
CrGaP2
1.0
3.860 0.000 0.000
0.000 3.860 0.000
0.000 0.000 5.470
Cr Ga P
1 1 2
direct
0.000 0.000 0.000 Cr
0.500 0.500 0.500 Ga
0.000 0.500 0.757 P
0.500 0.000 0.243 P
```

=====

No. 3
Computed X-ray diffraction stick pattern of CrGaRh2 for copper Kα, from a DFT-relaxed cell (GGA-PBE, the Materials Project).
Lines closer than 0.1° are merged.

Peak list (6 most intense, 2θ from 5° to 70°, in order of falling intensity)
two_theta, I (rel.)
42.07, 100
61.01, 16
29.41, 8
69.16, 3
52.16, 2
25.40, 1

Crystal structure
```
CrGaRh2
1.0
0.000 3.037 3.037
3.037 0.000 3.037
3.037 3.037 0.000
Cr Ga Rh
1 1 2
direct
0.000 0.000 0.000 Cr
0.500 0.500 0.500 Ga
0.250 0.250 0.250 Rh
0.750 0.750 0.750 Rh
```

=====

No. 4
Computed X-ray diffraction stick pattern of CrGaSe3 for copper Kα, from a DFT-relaxed cell (GGA-PBE, the Materials Project).
Lines closer than 0.1° are merged.

Peak list (8 most intense, 2θ from 5° to 70°, in order of falling intensity)
two_theta, I (rel.)
50.92, 100
11.05, 76
30.01, 70
29.13, 68
42.79, 42
29.70, 36
47.93, 34
36.78, 33

Crystal structure
```
CrGaSe3
1.0
10.389 0.000 0.000
0.000 3.796 0.000
0.000 0.000 12.572
Cr Ga Se
4 4 12
direct
0.095 0.250 0.110 Cr
0.405 0.750 0.610 Cr
0.595 0.250 0.390 Cr
0.905 0.750 0.890 Cr
0.233 0.750 0.294 Ga
0.267 0.250 0.794 Ga
0.733 0.750 0.206 Ga
0.767 0.250 0.706 Ga
0.072 0.250 0.906 Se
0.089 0.250 0.318 Se
0.239 0.250 0.604 Se
0.261 0.750 0.104 Se
0.411 0.750 0.818 Se
0.428 0.750 0.406 Se
0.572 0.250 0.594 Se
0.589 0.250 0.182 Se
0.739 0.250 0.896 Se
0.761 0.750 0.396 Se
0.911 0.750 0.682 Se
0.928 0.750 0.094 Se
```

=====

No. 5
Computed X-ray diffraction stick pattern of Zn3Cr12Ga2Se24 for copper Kα, from a DFT-relaxed cell (GGA-PBE, the Materials Project).
Lines closer than 0.1° are merged.

Peak list (8 most intense, 2θ from 5° to 70°, in order of falling intensity)
two_theta, I (rel.)
48.59, 100
33.83, 84
29.19, 54
44.41, 34
27.92, 33
57.69, 20
60.52, 17
23.74, 14

Crystal structure
```
Zn3Cr12Ga2Se24
1.0
-3.749 3.749 15.888
3.749 -3.749 15.888
3.749 3.749 -15.888
Zn Cr Ga Se
3 12 2 24
direct
0.000 0.000 0.000 Zn
0.583 0.083 0.500 Zn
0.917 0.417 0.500 Zn
0.119 0.874 0.246 Cr
0.126 0.372 0.246 Cr
0.126 0.881 0.754 Cr
0.292 0.542 0.750 Cr
0.445 0.207 0.237 Cr
0.458 0.208 0.750 Cr
0.458 0.708 0.250 Cr
0.628 0.874 0.754 Cr
0.792 0.542 0.250 Cr
0.793 0.030 0.237 Cr
0.793 0.555 0.763 Cr
0.970 0.207 0.763 Cr
0.332 0.332 0.000 Ga
0.668 0.668 0.000 Ga
0.017 0.288 0.729 Se
0.026 0.795 0.231 Se
0.045 0.317 0.271 Se
0.045 0.774 0.729 Se
0.205 0.436 0.231 Se
0.205 0.974 0.769 Se
0.226 0.955 0.271 Se
0.233 0.462 0.771 Se
0.351 0.622 0.729 Se
0.358 0.128 0.230 Se
0.378 0.107 0.729 Se
0.378 0.649 0.271 Se
0.538 0.309 0.771 Se
0.538 0.767 0.229 Se
0.559 0.288 0.271 Se
0.564 0.795 0.769 Se
0.683 0.955 0.729 Se
0.691 0.462 0.229 Se
0.712 0.441 0.729 Se
0.712 0.983 0.271 Se
0.872 0.101 0.230 Se
0.872 0.642 0.770 Se
0.893 0.622 0.271 Se
0.899 0.128 0.770 Se
```

=====

No. 6
Computed X-ray diffraction stick pattern of GdCr2Si2 for copper Kα, from a DFT-relaxed cell (GGA-PBE, the Materials Project).
Lines closer than 0.1° are merged.

Peak list (8 most intense, 2θ from 5° to 70°, in order of falling intensity)
two_theta, I (rel.)
36.84, 100
36.95, 98
34.14, 60
24.40, 49
24.54, 48
33.35, 39
46.86, 34
47.17, 34

Crystal structure
```
GdCr2Si2
1.0
3.853 0.000 0.000
0.001 3.878 0.000
1.906 1.910 5.373
Gd Cr Si
1 2 2
direct
0.000 0.000 0.000 Gd
0.246 0.755 0.499 Cr
0.750 0.245 0.501 Cr
0.384 0.386 0.233 Si
0.613 0.614 0.768 Si
```